No. 1
The following is a theoretical X-ray powder pattern of Tb3Sm3Ge4. It was derived from the PBE geometry in Alexandria, using Cu Kα (λ = 1.5418 Å).
Intensities are scaled so that the largest is 100.

Cell and atoms:
```
10
Lattice="4.317 0.000 0.000 0.000 5.433 5.430 0.000 -5.433 5.430" Properties=species:S:1:pos:R:3 pbc="T T T"
Tb 0.000 0.000 0.000
Tb 2.158 -2.712 6.259
Tb 2.158 2.712 6.259
Sm 0.000 -1.893 3.534
Sm 0.000 1.893 3.534
Sm 0.000 0.000 7.093
Ge 2.158 0.000 2.176
Ge 2.158 0.000 4.870
Ge 2.158 -1.326 8.994
Ge 2.158 1.326 8.994
```

Most intense lines, 10 to 90 degrees two-theta, by intensity:
2θ/deg  d (Å)  Rel. int.
33.33  2.688  100.0
31.17  2.869  63.4
37.01  2.429  48.5
57.08  1.613  27.6
41.85  2.158  23.6
26.37  3.379  17.9


No. 2
The following is a theoretical X-ray powder pattern of TbSm3Ge4. It was derived from the PBE geometry in Alexandria, using Cu Kα (λ = 1.5418 Å).
Intensities are scaled so that the largest is 100.

Cell and atoms:
```
8
Lattice="-2.051 3.223 8.021 2.051 -3.223 8.021 2.051 3.223 -8.021" Properties=species:S:1:pos:R:3 pbc="T T T"
Tb 0.000 0.000 0.000
Sm 2.051 0.000 3.137
Sm 0.000 0.000 8.021
Sm 0.000 3.223 4.885
Ge 2.051 -1.241 5.928
Ge 0.000 1.982 2.093
Ge 2.051 1.241 5.928
Ge 0.000 4.465 2.093
```

Most intense lines, 10 to 90 degrees two-theta, by intensity:
2θ/deg  d (Å)  Rel. int.
28.08  3.178  100.0
35.74  2.513  31.1
39.34  2.290  26.4
34.22  2.620  24.9
67.89  1.381  21.9
44.16  2.051  20.2


No. 3
The following is a theoretical X-ray powder pattern of SmTc2Ge7. It was derived from the PBE geometry in Alexandria, using Cu Kα (λ = 1.5418 Å).
Intensities are scaled so that the largest is 100.

Cell and atoms:
```
10
Lattice="4.381 -5.253 0.000 4.381 5.253 0.000 0.000 0.000 4.772" Properties=species:S:1:pos:R:3 pbc="T T T"
Sm 0.000 0.000 0.000
Tc 4.381 2.369 2.386
Tc 4.381 -2.369 2.386
Ge 1.925 1.223 2.386
Ge 4.381 2.161 0.000
Ge 1.925 -1.223 2.386
Ge 4.381 0.000 2.386
Ge 6.837 1.223 2.386
Ge 4.381 -2.161 0.000
Ge 6.837 -1.223 2.386
```

Most intense lines, 10 to 90 degrees two-theta, by intensity:
2θ/deg  d (Å)  Rel. int.
40.03  2.253  100.0
37.70  2.386  85.2
56.16  1.638  72.6
41.21  2.190  54.2
18.59  4.772  52.9
37.09  2.424  52.1